Diffraction record for Li2SiRh. The powder X-ray diffraction pattern is simulated, not measured: it uses a crystal structure in Alexandria, relaxed with PBE and Cu Kα X-rays.

Structure:
```
data_Li2SiRh
_chemical_formula_sum 'Li2 Si1 Rh1'
_symmetry_space_group_name_H-M 'P 1 2/m 1'
_symmetry_Int_Tables_number 10
_symmetry_space_group_name_Hall '-P 2y'
_cell_length_a 2.785
_cell_length_b 4.487
_cell_length_c 4.244
_cell_angle_alpha 90.00
_cell_angle_beta 96.17
_cell_angle_gamma 90.00
loop_
_atom_site_label
_atom_site_type_symbol
_atom_site_fract_x
_atom_site_fract_y
_atom_site_fract_z
_atom_site_occupancy
Li1 Li 0.245 0.000 0.244 1
Si1 Si 0.000 0.500 0.500 1
Rh1 Rh 0.500 0.500 0.000 1
```

Top 6 peaks for 10° ≤ 2θ ≤ 80°, in order of rising 2θ:
Position (°2θ)	intensity	index
19.79	100	0 1 0
21.05	32	0 0 1
29.05	28	0 1 1
42.18	36	1 1 -1
45.79	29	1 1 1
47.63	25	0 1 2